No. 1
Structure and simulated XRD peak list of LiVOF3 (the PBE+U geometry in the Materials Project; Cu Kα (λ = 1.5418 Å)).
Neutral-atom scattering factors, no anomalous dispersion.

Structure:
Cell lengths 5.5471, 5.5471, 9.7569 Å; angles 90.00, 90.00, 90.00 degrees
Fractional coordinates of all 24 atoms:
Li1 0.0934 0.8527 0.0000
Li2 0.1473 0.0934 0.2500
Li3 0.8527 0.9066 0.7500
Li4 0.9066 0.1473 0.5000
V1 0.1372 0.4156 0.7503
V2 0.4156 0.8628 0.5003
V3 0.5844 0.1372 0.0003
V4 0.8628 0.5844 0.2503
O1 0.0790 0.6679 0.8318
O2 0.3321 0.0790 0.0818
O3 0.6679 0.9210 0.5818
O4 0.9210 0.3321 0.3318
F1 0.0390 0.8187 0.3675
F2 0.1282 0.6020 0.1305
F3 0.1813 0.0390 0.6175
F4 0.3150 0.5597 0.5913
F5 0.3980 0.1282 0.3805
F6 0.4403 0.3150 0.8413
F7 0.5597 0.6850 0.3413
F8 0.6020 0.8718 0.8805
F9 0.6850 0.4403 0.0913
F10 0.8187 0.9610 0.1175
F11 0.8718 0.3980 0.6305
F12 0.9610 0.1813 0.8675

Top 10 peaks for 2θ from 10° to 90°, in order of falling intensity:
| 2θ/deg | I/Imax |
| --- | --- |
| 24.30 | 100.0 |
| 18.40 | 70.7 |
| 24.46 | 65.1 |
| 46.01 | 55.2 |
| 33.59 | 30.6 |
| 52.62 | 28.7 |
| 22.67 | 26.5 |
| 37.29 | 24.7 |
| 53.02 | 23.8 |
| 60.35 | 13.7 |

No. 2
Structure and simulated XRD peak list of LiV2OF5 (the PBE+U geometry in the Materials Project; Cu Kα (λ = 1.5418 Å)).
Neutral-atom scattering factors, no anomalous dispersion.

Structure:
Cell lengths 4.7547, 4.7547, 18.6140 Å; angles 90.22, 90.22, 90.00 degrees
Fractional coordinates of all 36 atoms:
Li1 0.0002 0.9998 0.0000
Li2 0.9998 0.0002 0.5000
Li3 0.4934 0.5009 0.2499
Li4 0.5009 0.4934 0.7499
V1 0.0056 0.9890 0.8397
V2 0.4747 0.5212 0.9170
V3 0.5046 0.5049 0.0896
V4 0.5049 0.5046 0.5896
V5 0.5212 0.4747 0.4170
V6 0.9721 0.9755 0.1670
V7 0.9755 0.9721 0.6670
V8 0.9890 0.0056 0.3397
O1 0.2063 0.7895 0.9059
O2 0.7047 0.7062 0.1560
O3 0.7062 0.7047 0.6560
O4 0.7895 0.2063 0.4059
F1 0.1825 0.8085 0.2524
F2 0.1900 0.8010 0.7507
F3 0.1953 0.7999 0.0846
F4 0.1956 0.7982 0.5843
F5 0.2090 0.7859 0.4148
F6 0.2842 0.2867 0.1648
F7 0.2867 0.2842 0.6648
F8 0.2978 0.2993 0.3346
F9 0.2993 0.2978 0.8346
F10 0.3068 0.3119 0.0022
F11 0.3119 0.3068 0.5022
F12 0.6896 0.6919 0.0010
F13 0.6919 0.6896 0.5010
F14 0.6937 0.6961 0.3343
F15 0.6961 0.6937 0.8343
F16 0.7859 0.2090 0.9148
F17 0.7982 0.1956 0.0843
F18 0.7999 0.1953 0.5846
F19 0.8010 0.1900 0.2507
F20 0.8085 0.1825 0.7524

Top 10 peaks for 2θ from 10° to 90°, in order of falling intensity:
| 2θ/deg | I/Imax |
| --- | --- |
| 26.51 | 100.0 |
| 20.98 | 56.7 |
| 52.06 | 33.3 |
| 52.24 | 31.6 |
| 19.07 | 26.2 |
| 39.53 | 24.8 |
| 54.59 | 24.3 |
| 66.34 | 19.7 |
| 34.46 | 18.7 |
| 34.58 | 15.3 |

No. 3
Structure and simulated XRD peak list of LiVOF3 (the PBE+U geometry in the Materials Project; Cu Kα (λ = 1.5418 Å)).
Neutral-atom scattering factors, no anomalous dispersion.

Structure:
Cell lengths 5.7579, 5.7579, 5.0374 Å; angles 92.15, 92.15, 62.82 degrees
Fractional coordinates of all 12 atoms:
Li1 0.1984 0.1984 0.0175
Li2 0.8016 0.8016 0.9825
V1 0.5228 0.4772 0.0000
V2 0.7976 0.2024 0.5000
O1 0.6377 0.1640 0.1841
O2 0.8360 0.3623 0.8159
F1 0.1197 0.1112 0.3545
F2 0.1682 0.5798 0.0895
F3 0.4202 0.8318 0.9105
F4 0.4369 0.3288 0.6801
F5 0.6712 0.5631 0.3199
F6 0.8888 0.8803 0.6455

Top 10 peaks for 2θ from 10° to 90°, in order of falling intensity:
| 2θ/deg | I/Imax |
| --- | --- |
| 17.32 | 100.0 |
| 18.07 | 95.4 |
| 39.10 | 71.5 |
| 25.09 | 67.7 |
| 24.51 | 55.2 |
| 50.79 | 39.4 |
| 41.02 | 35.1 |
| 31.13 | 20.8 |
| 52.02 | 17.8 |
| 63.54 | 15.7 |

No. 4
Structure and simulated XRD peak list of Li2VO2F (the PBE+U geometry in the Materials Project; Cu Kα (λ = 1.5418 Å)).
Neutral-atom scattering factors, no anomalous dispersion.

Structure:
Cell lengths 2.9280, 4.2000, 9.1329 Å; angles 90.00, 90.00, 90.00 degrees
Fractional coordinates of all 12 atoms:
Li1 0.0000 0.0000 0.1907
Li2 0.0000 0.0000 0.8093
Li3 0.5000 0.5000 0.3093
Li4 0.5000 0.5000 0.6907
V1 0.0000 0.0000 0.5000
V2 0.5000 0.5000 0.0000
O1 0.0000 0.5000 0.1511
O2 0.0000 0.5000 0.8489
O3 0.5000 0.0000 0.3489
O4 0.5000 0.0000 0.6511
F1 0.0000 0.5000 0.5000
F2 0.5000 0.0000 0.0000

Top 10 peaks for 2θ from 10° to 90°, in order of falling intensity:
| 2θ/deg | I/Imax |
| --- | --- |
| 23.31 | 100.0 |
| 42.85 | 99.1 |
| 19.44 | 95.9 |
| 62.38 | 52.9 |
| 43.07 | 50.9 |
| 32.10 | 42.8 |
| 55.53 | 22.6 |
| 42.53 | 19.2 |
| 54.73 | 18.6 |
| 47.67 | 15.5 |